The following is a computed XRD peak list of MgNi2O5. It was derived from a structure optimized by DFT (GGA+U), using CuKα.
Kinematic intensities with the Lorentz-polarization factor, no thermal factor.

Structure:
Cell: 3.129 11.030 5.302 Å, 90.00 90.00 90.00°
Fractional positions:
Mg 0.250 0.250 0.121
Mg 0.750 0.750 0.879
Ni 0.250 0.604 0.457
Ni 0.250 0.896 0.457
Ni 0.750 0.104 0.543
Ni 0.750 0.396 0.543
O 0.250 0.055 0.338
O 0.250 0.445 0.338
O 0.250 0.682 0.125
O 0.250 0.750 0.626
O 0.250 0.818 0.125
O 0.750 0.182 0.875
O 0.750 0.250 0.374
O 0.750 0.318 0.875
O 0.750 0.555 0.662
O 0.750 0.945 0.662

Peak list (12 most intense, 10° ≤ 2θ ≤ 90°, sorted by position)
| Position (°2θ) | intensity | h k l |
| --- | --- | --- |
| 16.72 | 100 | 0 0 1 |
| 23.27 | 35 | 0 2 1 |
| 29.68 | 32 | 1 1 0 |
| 33.25 | 25 | 1 0 1 |
| 33.81 | 13 | 0 0 2 |
| 34.26 | 33 | 1 1 1 |
| 36.74 | 26 | 0 4 1 |
| 37.76 | 17 | 1 3 0 |
| 41.55 | 18 | 1 3 1 |
| 47.91 | 19 | 1 2 2 |
| 51.58 | 21 | 1 3 2 |
| 69.05 | 22 | 1 7 1 |